Entry 1:
This entry pairs a crystal structure of Na4CdGe2S7 with its theoretical XRD peak list. Radiation: Cu Kα. Structure: DFT lattice parameters and positions (GGA-PBE).
Lines closer than 0.1° are merged.

The 10 most intense peaks (2θ = 10–90°), sorted by position:
2θ 11.35, I = 92, hkl 0 0 2; 2θ 15.60, I = 91, hkl 1 1 1; 2θ 18.28, I = 55, hkl 1 1 -2; 2θ 22.61, I = 100, hkl 0 2 3; 2θ 25.51, I = 39, hkl 1 3 0; 2θ 26.20, I = 72, hkl 1 3 1; 2θ 31.20, I = 86, hkl 2 2 -2; 2θ 32.36, I = 44, hkl 0 2 5; 2θ 37.77, I = 49, hkl 1 1 6; 2θ 43.29, I = 59, hkl 1 5 -3

Lattice parameters (Å, degrees): 7.1314 12.0117 15.5926 90.00 90.94 90.00
Space group P2_1/c (No. 14)
Asymmetric unit:
Na (0.0229, 0.1684, 0.4491)
Na (0.1504, 0.0207, 0.8898)
Na (0.4024, 0.5184, 0.1369)
Na (0.4503, 0.7388, 0.4463)
Cd (0.2479, 0.1830, 0.2429)
Ge (0.0852, 0.5903, 0.8456)
Ge (0.3765, 0.6153, 0.6493)
S (0.0301, 0.5604, 0.2184)
S (0.1715, 0.1879, 0.6185)
S (0.1723, 0.6205, 0.5426)
S (0.2628, 0.7065, 0.7656)
S (0.2636, 0.5480, 0.9573)
S (0.3803, 0.2279, 0.8829)
S (0.4988, 0.0499, 0.1826)



Entry 2:
This entry pairs a crystal structure of Sc2AlGePt4 with its theoretical XRD peak list. Radiation: Cu Kα. Structure: DFT lattice parameters and positions (GGA-PBE).
Lines closer than 0.1° are merged.

The 10 most intense peaks (2θ = 10–90°), sorted by position:
2θ 24.66, I = 45, hkl 2 0 0; 2θ 26.45, I = 73, hkl 0 1 1; 2θ 34.23, I = 38, hkl 0 0 4; 2θ 36.03, I = 74, hkl 0 1 3; 2θ 36.48, I = 100, hkl 2 1 1; 2θ 41.29, I = 48, hkl 3 0 2; 2θ 42.64, I = 68, hkl 2 0 4; 2θ 44.15, I = 40, hkl 2 1 3; 2θ 46.37, I = 47, hkl 3 1 1; 2θ 67.92, I = 37, hkl 0 1 7

Lattice parameters (Å, degrees): 7.2190 3.5589 10.4795 90.00 90.00 90.00
Space group Amm2 (No. 38)
Asymmetric unit:
Sc (0.0000, 0.0000, 0.0000)
Sc (0.5000, 0.0000, 0.0767)
Al (0.0000, 0.0000, 0.2776)
Ge (0.5000, 0.0000, 0.7987)
Pt (0.2003, 0.0000, 0.6705)
Pt (0.2953, 0.0000, 0.4099)



Entry 3:
This entry pairs a crystal structure of U5Re3C8 with its theoretical XRD peak list. Radiation: Cu Kα. Structure: DFT lattice parameters and positions (GGA-PBE).
Lines closer than 0.1° are merged.

The 10 most intense peaks (2θ = 10–90°), sorted by position:
2θ 31.43, I = 41, hkl 4 0 0; 2θ 32.42, I = 35, hkl 4 1 0; 2θ 32.81, I = 16, hkl 2 1 1; 2θ 35.62, I = 100, hkl 2 2 1; 2θ 39.91, I = 15, hkl 3 2 1; 2θ 45.05, I = 11, hkl 4 4 0; 2θ 56.84, I = 14, hkl 6 1 1; 2θ 56.97, I = 10, hkl 0 0 2; 2θ 61.73, I = 16, hkl 6 3 1; 2θ 66.52, I = 11, hkl 4 0 2

Lattice parameters (Å, degrees): 11.3848 11.3848 3.2330 90.00 90.00 90.00
Space group P4/mbm (No. 127)
Asymmetric unit:
U (0.0000, 0.5000, 0.0000)
U (0.0423, 0.2284, 0.5000)
Re (0.0000, 0.0000, 0.0000)
Re (0.2042, 0.7042, 0.0000)
C (0.0975, 0.8479, 0.0000)
C (0.1171, 0.6171, 0.5000)
C (0.1539, 0.3461, 0.0000)



Entry 4:
This entry pairs a crystal structure of PrGdGa2Br2 with its theoretical XRD peak list. Radiation: Cu Kα. Structure: DFT lattice parameters and positions (GGA-PBE).
Lines closer than 0.1° are merged.

The 10 most intense peaks (2θ = 10–90°), sorted by position:
2θ 24.42, I = 12, hkl 1 0 0; 2θ 25.64, I = 21, hkl 1 0 1; 2θ 29.02, I = 69, hkl 1 0 2; 2θ 33.96, I = 100, hkl 1 0 3; 2θ 42.98, I = 52, hkl 1 1 0; 2θ 46.74, I = 24, hkl 0 1 5; 2θ 52.69, I = 13, hkl 0 2 2; 2θ 55.87, I = 24, hkl 0 2 3; 2θ 65.97, I = 17, hkl 1 1 6; 2θ 72.98, I = 21, hkl 2 1 3

Lattice parameters (Å, degrees): 4.2088 4.2088 11.4860 90.00 90.00 120.00
Space group P3m1 (No. 156)
Asymmetric unit:
Pr (0.0000, 0.0000, 0.0000)
Gd (0.0000, 0.0000, 0.3668)
Ga (0.3333, 0.6667, 0.2152)
Ga (0.6667, 0.3333, 0.1598)
Br (0.3333, 0.6667, 0.8388)
Br (0.6667, 0.3333, 0.5187)